No. 1
Calculated XRD peak list of UZn17Hg for Cu Kα, 1.54184 Å, from a structure optimized by DFT (PBE).
Neutral-atom scattering factors, no anomalous dispersion.

Largest 10 diffraction maxima, low angle first, 2θ = 5–70°:
2θ/deg	intensity
13.16	13
28.18	18
29.05	17
34.57	34
35.38	34
40.17	100
40.43	11
40.86	26
45.18	21
45.39	12

Cell and atoms:
```
19
Lattice="4.4946 2.5949 4.4616 -4.4946 2.5949 4.4616 0.0000 -5.1899 4.4616" Properties=species:S:1:pos:R:3 pbc="T T T"
U 0.0000 0.0000 0.0000
Zn 0.0000 -2.5904 2.3413
Zn -2.2433 1.2952 2.3413
Zn -2.3066 -1.3317 6.7481
Zn 0.0000 -2.5456 6.3856
Zn -2.2046 1.2728 6.3856
Zn -1.3229 -2.3921 8.9046
Zn -2.7331 0.0504 8.9046
Zn 2.2433 1.2952 2.3413
Zn 0.0000 0.0000 7.5412
Zn 1.3229 -2.3921 8.9046
Zn -1.4102 2.3418 8.9046
Zn 2.3066 -1.3317 6.7481
Zn 0.0000 2.6634 6.7481
Zn 0.0000 0.0000 10.1964
Zn 2.2046 1.2728 6.3856
Zn 2.7331 0.0504 8.9046
Zn 1.4102 2.3418 8.9046
Hg 0.0000 0.0000 3.4729
```

No. 2
Calculated XRD peak list of ZrVHg for Cu Kα, 1.54184 Å, from a structure optimized by DFT (PBE).
Neutral-atom scattering factors, no anomalous dispersion.

Largest 10 diffraction maxima, low angle first, 2θ = 5–70°:
2θ/deg	intensity
13.07	72
28.14	85
38.12	88
38.42	100
40.75	30
48.29	20
54.59	24
55.23	30
68.70	22
69.28	30

Cell and atoms:
```
6
Lattice="2.3432 1.3529 6.7728 -2.3432 1.3529 6.7728 0.0000 -2.7057 6.7728" Properties=species:S:1:pos:R:3 pbc="T T T"
Zr 0.0000 0.0000 1.5343
Zr 0.0000 0.0000 18.7842
V 0.0000 0.0000 3.9246
V 0.0000 0.0000 16.3939
Hg 0.0000 0.0000 7.3351
Hg 0.0000 0.0000 12.9834
```

No. 3
Calculated XRD peak list of Hg3W2 for Cu Kα, 1.54184 Å, from a structure optimized by DFT (PBE).
Neutral-atom scattering factors, no anomalous dispersion.

Largest 10 diffraction maxima, low angle first, 2θ = 5–70°:
2θ/deg	intensity
15.51	12
21.90	15
26.95	24
31.32	16
38.42	100
38.54	78
50.37	25
55.55	28
69.53	46
69.81	17

Cell and atoms:
```
5
Lattice="4.6862 0.0000 0.0000 -2.3431 4.0584 0.0000 0.0000 0.0000 5.7127" Properties=species:S:1:pos:R:3 pbc="T T T"
Hg 0.0000 0.0000 0.0000
Hg 0.0000 2.7056 2.2938
Hg 2.3431 1.3528 3.4188
W 0.0000 2.7056 5.2241
W 2.3431 1.3528 0.4885
```

No. 4
Calculated XRD peak list of HgW5 for Cu Kα, 1.54184 Å, from a structure optimized by DFT (PBE).
Neutral-atom scattering factors, no anomalous dispersion.

Largest 10 diffraction maxima, low angle first, 2θ = 5–70°:
2θ/deg	intensity
24.11	2
32.64	2
36.01	25
37.91	5
38.01	23
40.89	100
53.35	15
56.00	3
64.73	18
68.40	2

Cell and atoms:
```
6
Lattice="2.4943 1.4401 4.7341 -2.4943 1.4401 4.7341 0.0000 -2.8802 4.7341" Properties=species:S:1:pos:R:3 pbc="T T T"
Hg 0.0000 0.0000 0.0000
W -0.8509 -1.4738 7.1012
W 0.0000 0.0000 5.0309
W -0.8509 1.4738 7.1012
W 0.0000 0.0000 9.1714
W 1.7018 0.0000 7.1012
```

No. 5
Calculated XRD peak list of Hg5W for Cu Kα, 1.54184 Å, from a structure optimized by DFT (PBE).
Neutral-atom scattering factors, no anomalous dispersion.

Largest 10 diffraction maxima, low angle first, 2θ = 5–70°:
2θ/deg	intensity
5.08	13
25.62	14
30.86	23
34.33	25
37.78	100
40.28	9
46.83	11
54.96	16
61.49	19
64.37	7

Cell and atoms:
```
6
Lattice="3.0161 0.0000 0.0000 -1.5081 2.6120 0.0000 0.0000 0.0000 17.3860" Properties=species:S:1:pos:R:3 pbc="T T T"
Hg 0.0000 0.0000 0.0000
Hg 0.0000 0.0000 6.2810
Hg 0.0000 0.0000 11.1050
Hg 1.5081 0.8707 3.2667
Hg 1.5081 0.8707 14.1193
W 1.5081 0.8707 8.6930
```

No. 6
Calculated XRD peak list of ZrHg3W for Cu Kα, 1.54184 Å, from a structure optimized by DFT (PBE).
Neutral-atom scattering factors, no anomalous dispersion.

Largest 10 diffraction maxima, low angle first, 2θ = 5–70°:
2θ/deg	intensity
17.22	58
24.45	4
30.06	67
34.85	100
39.12	32
50.11	72
53.38	17
59.55	30
62.49	25
65.35	7

Cell and atoms:
```
5
Lattice="5.1488 0.0000 0.0000 0.0000 5.1488 0.0000 0.0000 0.0000 5.1488" Properties=species:S:1:pos:R:3 pbc="T T T"
Zr 0.0000 0.0000 0.0000
Hg 0.0000 2.5744 2.5744
Hg 2.5744 0.0000 2.5744
Hg 2.5744 2.5744 0.0000
W 2.5744 2.5744 2.5744
```

No. 7
Calculated XRD peak list of ZrHgW for Cu Kα, 1.54184 Å, from a structure optimized by DFT (PBE).
Neutral-atom scattering factors, no anomalous dispersion.

Largest 10 diffraction maxima, low angle first, 2θ = 5–70°:
2θ/deg	intensity
12.66	14
31.63	6
36.60	100
38.62	21
44.36	29
45.12	4
46.31	3
60.24	23
64.53	10
68.56	16

Cell and atoms:
```
6
Lattice="2.8882 0.0000 0.0000 0.0000 2.8882 0.0000 0.0000 0.0000 13.9883" Properties=species:S:1:pos:R:3 pbc="T T T"
Zr 0.0000 0.0000 0.0000
Zr 1.4441 1.4441 6.9942
Hg 0.0000 0.0000 9.4351
Hg 1.4441 1.4441 2.4409
W 0.0000 0.0000 4.7108
W 1.4441 1.4441 11.7049
```

No. 8
Calculated XRD peak list of YHg for Cu Kα, 1.54184 Å, from a structure optimized by DFT (PBE).
Neutral-atom scattering factors, no anomalous dispersion.

Largest 10 diffraction maxima, low angle first, 2θ = 5–70°:
2θ/deg	intensity
16.21	19
23.67	19
30.97	100
32.76	28
35.29	71
38.45	31
43.68	25
51.38	16
59.57	23
67.77	15

Cell and atoms:
```
12
Lattice="4.6827 0.0000 0.0000 0.0000 11.0038 0.0000 0.0000 0.0000 6.3007" Properties=species:S:1:pos:R:3 pbc="T T T"
Y 0.0000 0.0000 0.0000
Y 0.0000 3.5522 1.2173
Y 0.0000 7.4517 1.2173
Y 2.3414 1.9497 4.3677
Y 2.3414 5.5019 3.1504
Y 2.3414 9.0541 4.3677
Hg 0.0000 0.0000 3.1724
Hg 0.0000 3.9090 4.4785
Hg 0.0000 7.0948 4.4785
Hg 2.3414 1.5929 1.3282
Hg 2.3414 5.5019 0.0221
Hg 2.3414 9.4109 1.3282
```

No. 9
Calculated XRD peak list of Y2Hg7 for Cu Kα, 1.54184 Å, from a structure optimized by DFT (PBE).
Neutral-atom scattering factors, no anomalous dispersion.

Largest 10 diffraction maxima, low angle first, 2θ = 5–70°:
2θ/deg	intensity
18.71	1
22.05	5
34.84	100
39.88	1
41.66	1
45.46	1
50.10	18
52.47	1
62.32	9
62.52	28

Cell and atoms:
```
9
Lattice="5.1431 0.0000 0.0000 -2.5715 4.4540 0.0000 0.0000 0.0000 9.4862" Properties=species:S:1:pos:R:3 pbc="T T T"
Y 0.0000 2.9694 2.5953
Y 2.5715 1.4847 6.8908
Hg 0.0000 0.0000 1.5493
Hg 0.0000 0.0000 4.7431
Hg 0.0000 0.0000 7.9369
Hg 0.0000 2.9694 5.7450
Hg 0.0000 2.9694 8.8527
Hg 2.5715 1.4847 0.6334
Hg 2.5715 1.4847 3.7411
```

No. 10
Calculated XRD peak list of YHg2 for Cu Kα, 1.54184 Å, from a structure optimized by DFT (PBE).
Neutral-atom scattering factors, no anomalous dispersion.

Largest 10 diffraction maxima, low angle first, 2θ = 5–70°:
2θ/deg	intensity
13.81	10
26.82	6
30.28	100
39.03	52
42.29	13
47.36	28
57.25	17
62.99	13
64.54	12
65.34	22

Cell and atoms:
```
3
Lattice="3.8389 0.0000 0.0000 -1.9195 3.3246 0.0000 0.0000 0.0000 6.4120" Properties=species:S:1:pos:R:3 pbc="T T T"
Y 0.0000 0.0000 0.0000
Hg 0.0000 2.2164 4.2541
Hg 1.9195 1.1082 2.1578
```

No. 11
Calculated XRD peak list of Y3Hg2 for Cu Kα, 1.54184 Å, from a structure optimized by DFT (PBE).
Neutral-atom scattering factors, no anomalous dispersion.

Largest 10 diffraction maxima, low angle first, 2θ = 5–70°:
2θ/deg	intensity
7.23	19
14.48	13
30.35	100
36.73	17
37.17	55
49.07	27
57.85	12
58.79	15
62.83	22
63.13	12

Cell and atoms:
```
15
Lattice="3.7130 0.0000 0.0000 -1.8565 3.2156 0.0000 0.0000 0.0000 36.7017" Properties=species:S:1:pos:R:3 pbc="T T T"
Y 0.0000 0.0000 0.0000
Y 0.0000 0.0000 7.5625
Y 0.0000 0.0000 29.1392
Y 0.0000 2.1437 16.9053
Y 0.0000 2.1437 24.4678
Y 0.0000 2.1437 32.0303
Y 1.8565 1.0719 4.6714
Y 1.8565 1.0719 12.2339
Y 1.8565 1.0719 19.7964
Hg 0.0000 0.0000 14.5483
Hg 0.0000 0.0000 22.1534
Hg 0.0000 2.1437 2.3144
Hg 0.0000 2.1437 9.9195
Hg 1.8565 1.0719 26.7822
Hg 1.8565 1.0719 34.3873
```

No. 12
Calculated XRD peak list of Y8Hg for Cu Kα, 1.54184 Å, from a structure optimized by DFT (PBE).
Neutral-atom scattering factors, no anomalous dispersion.

Largest 10 diffraction maxima, low angle first, 2θ = 5–70°:
2θ/deg	intensity
11.80	7
16.72	4
31.19	100
35.94	34
36.65	16
51.73	12
52.26	23
61.66	27
62.61	13
65.06	11

Cell and atoms:
```
9
Lattice="-5.3013 5.3013 2.4523 5.3013 -5.3013 2.4523 5.3013 5.3013 -2.4523" Properties=species:S:1:pos:R:3 pbc="T T T"
Y 3.5299 0.0000 0.0000
Y 7.0728 0.0000 0.0000
Y 0.0000 3.5299 0.0000
Y 3.5883 3.5883 0.0000
Y 1.7130 -1.7130 2.4523
Y -1.7130 1.7130 2.4523
Y 1.7130 1.7130 2.4523
Y 0.0000 7.0728 0.0000
Hg 0.0000 0.0000 0.0000
```